This entry pairs a crystal structure of KY2PdO4 with its theoretical X-ray diffraction stick pattern. Radiation: Cu Kα (λ = 1.5418 Å). Structure: a DFT-relaxed cell (PBE, Alexandria).
Intensities are scaled so that the largest is 100.

Atomic structure:
```
KY2PdO4
1.0
5.254 0.000 0.000
0.000 5.254 0.000
0.000 0.000 11.009
K Y Pd O
2 4 2 8
direct
0.000 0.000 0.000
0.500 0.500 0.500
0.000 0.500 0.250
0.000 0.500 0.750
0.500 0.000 0.250
0.500 0.000 0.750
0.000 0.000 0.500
0.500 0.500 0.000
0.222 0.222 0.650
0.222 0.778 0.350
0.278 0.278 0.150
0.278 0.722 0.850
0.722 0.278 0.850
0.722 0.722 0.150
0.778 0.222 0.350
0.778 0.778 0.650
```

The 8 most intense peaks (10 to 90 degrees two-theta), low angle first:
| 2theta | I_rel |
| --- | --- |
| 18.7 | 14 |
| 29.0 | 100 |
| 32.5 | 12 |
| 34.1 | 20 |
| 47.9 | 30 |
| 49.0 | 14 |
| 55.9 | 15 |
| 58.0 | 26 |

This entry pairs a crystal structure of Ce8CdRu2 with its theoretical X-ray diffraction stick pattern. Radiation: Cu Kα (λ = 1.5418 Å). Structure: a DFT-relaxed cell (PBE, Alexandria).
Intensities are scaled so that the largest is 100.

Atomic structure:
```
Ce8CdRu2
1.0
4.184 -6.575 0.000
4.184 6.575 0.000
-1.342 0.000 5.192
Ce Cd Ru
8 1 2
direct
0.080 0.080 0.811
0.187 0.401 0.438
0.247 0.753 0.000
0.401 0.187 0.438
0.599 0.813 0.562
0.753 0.247 0.000
0.813 0.599 0.562
0.920 0.920 0.189
0.500 0.500 0.000
0.213 0.787 0.500
0.787 0.213 0.500
```

The 8 most intense peaks (10 to 90 degrees two-theta), low angle first:
| 2theta | I_rel |
| --- | --- |
| 31.2 | 59 |
| 32.2 | 74 |
| 34.1 | 77 |
| 34.2 | 46 |
| 34.6 | 28 |
| 35.2 | 100 |
| 38.7 | 54 |
| 54.2 | 27 |

This entry pairs a crystal structure of Tb2NdIn2Hg2 with its theoretical X-ray diffraction stick pattern. Radiation: Cu Kα (λ = 1.5418 Å). Structure: a DFT-relaxed cell (PBE, Alexandria).
Intensities are scaled so that the largest is 100.

Atomic structure:
```
Tb2NdIn2Hg2
1.0
2.482 1.433 9.000
-2.482 1.433 9.000
0.000 -2.866 9.000
Tb Nd In Hg
2 1 2 2
direct
0.132 0.132 0.132
0.868 0.868 0.868
0.000 0.000 0.000
0.267 0.267 0.267
0.733 0.733 0.733
0.429 0.429 0.429
0.571 0.571 0.571
```

The 8 most intense peaks (10 to 90 degrees two-theta), low angle first:
| 2theta | I_rel |
| --- | --- |
| 19.7 | 11 |
| 31.2 | 100 |
| 36.2 | 83 |
| 48.5 | 29 |
| 52.0 | 13 |
| 62.0 | 28 |
| 65.1 | 15 |
| 85.2 | 12 |

This entry pairs a crystal structure of Sr2GeSe4 with its theoretical X-ray diffraction stick pattern. Radiation: Cu Kα (λ = 1.5418 Å). Structure: a DFT-relaxed cell (PBE, Alexandria).
Intensities are scaled so that the largest is 100.

Atomic structure:
```
Sr2GeSe4
1.0
7.113 0.000 0.000
0.000 7.083 0.000
-2.610 0.000 8.170
Sr Ge Se
4 2 8
direct
0.232 0.250 0.058
0.250 0.250 0.562
0.750 0.750 0.438
0.768 0.750 0.942
0.229 0.750 0.804
0.771 0.250 0.196
0.003 0.007 0.744
0.003 0.493 0.744
0.408 0.750 0.087
0.416 0.750 0.616
0.584 0.250 0.384
0.592 0.250 0.913
0.997 0.507 0.256
0.997 0.993 0.256
```

The 8 most intense peaks (10 to 90 degrees two-theta), low angle first:
| 2theta | I_rel |
| --- | --- |
| 25.1 | 32 |
| 28.4 | 53 |
| 28.7 | 83 |
| 31.4 | 100 |
| 33.5 | 68 |
| 36.7 | 40 |
| 42.1 | 37 |
| 51.6 | 40 |

This entry pairs a crystal structure of Ce2PuH12Rh3 with its theoretical X-ray diffraction stick pattern. Radiation: Cu Kα (λ = 1.5418 Å). Structure: a DFT-relaxed cell (PBE, Alexandria).
Intensities are scaled so that the largest is 100.

Atomic structure:
```
Ce2PuH12Rh3
1.0
3.308 1.910 4.724
-3.308 1.910 4.724
0.000 -3.820 4.724
Ce Pu H Rh
2 1 12 3
direct
0.097 0.097 0.097
0.903 0.903 0.903
0.500 0.500 0.500
0.069 0.644 0.644
0.215 0.215 0.625
0.215 0.625 0.215
0.356 0.356 0.931
0.356 0.931 0.356
0.375 0.785 0.785
0.625 0.215 0.215
0.644 0.069 0.644
0.644 0.644 0.069
0.785 0.375 0.785
0.785 0.785 0.375
0.931 0.356 0.356
0.000 0.500 0.500
0.500 0.000 0.500
0.500 0.500 0.000
```

The 8 most intense peaks (10 to 90 degrees two-theta), low angle first:
| 2theta | I_rel |
| --- | --- |
| 19.9 | 43 |
| 27.0 | 69 |
| 33.1 | 86 |
| 33.7 | 100 |
| 35.3 | 80 |
| 47.6 | 35 |
| 53.2 | 50 |
| 55.6 | 41 |